[1]
For Li2VF6, a DFT-relaxed cell (GGA+U, the Materials Project) gives the computed powder diffractogram in this record (Cu Kα X-rays).

Structural model:
abc: 8.691 8.721 10.254
angles: 83.86 83.74 60.42
Space group P1 (No. 1)
Symmetry-distinct sites (fractional):
Li 0.000 0.000 0.000
Li 0.005 0.430 0.543
Li 0.039 0.035 0.451
Li 0.119 0.255 0.930
Li 0.218 0.503 0.017
Li 0.335 0.309 0.401
Li 0.472 0.566 0.227
Li 0.530 0.822 0.429
Li 0.604 0.039 0.898
Li 0.655 0.655 0.701
Li 0.728 0.704 0.045
Li 0.782 0.923 0.519
V 0.004 0.706 0.768
V 0.323 0.038 0.682
V 0.326 0.038 0.179
V 0.664 0.368 0.976
V 0.668 0.370 0.479
V 0.998 0.711 0.271
F 0.057 0.810 0.399
F 0.073 0.785 0.903
F 0.078 0.491 0.876
F 0.086 0.492 0.373
F 0.108 0.127 0.782
F 0.121 0.111 0.281
F 0.206 0.619 0.671
F 0.226 0.978 0.051
F 0.228 0.610 0.179
F 0.250 0.253 0.579
F 0.252 0.258 0.081
F 0.252 0.960 0.547
F 0.396 0.126 0.811
F 0.418 0.102 0.311
F 0.418 0.823 0.771
F 0.425 0.809 0.271
F 0.438 0.442 0.920
F 0.444 0.446 0.405
F 0.544 0.952 0.077
F 0.553 0.945 0.583
F 0.587 0.311 0.632
F 0.592 0.314 0.139
F 0.592 0.592 0.048
F 0.603 0.600 0.540
F 0.718 0.453 0.318
F 0.725 0.454 0.819
F 0.748 0.134 0.926
F 0.762 0.135 0.426
F 0.774 0.789 0.865
F 0.778 0.785 0.371
F 0.896 0.630 0.647
F 0.904 0.274 0.021
F 0.906 0.287 0.525
F 0.906 0.923 0.668
F 0.925 0.915 0.169
F 0.932 0.619 0.141

Top 6 peaks for 5 to 70 degrees two-theta, in order of rising 2θ:
h k l, d/Å, I_rel
1 -1 0, 4.380, 34
1 2 0, 4.343, 100
2 1 0, 4.319, 42
1 1 -2, 3.978, 22
2 2 2, 3.206, 17
1 1 -4, 2.319, 19

[2]
For SrV3O11, a DFT-relaxed cell (GGA+U, the Materials Project) gives the computed powder diffractogram in this record (Cu Kα X-rays).

Structural model:
abc: 5.289 11.228 9.073
angles: 90.00 93.01 90.00
Space group P2_1/m (No. 11)
Symmetry-distinct sites (fractional):
Sr 0.228 0.250 0.250
V 0.248 0.750 0.476
V 0.256 0.018 0.567
O 0.009 0.610 0.522
O 0.229 0.750 0.297
O 0.243 0.079 0.081
O 0.268 0.750 0.714
O 0.269 0.039 0.741
O 0.292 0.250 0.960
O 0.495 0.610 0.521

Top 6 peaks for 5 to 70 degrees two-theta, in order of rising 2θ:
h k l, d/Å, I_rel
0 0 1, 9.061, 100
0 1 1, 7.051, 20
1 2 -1, 3.591, 14
1 2 1, 3.493, 17
2 0 0, 2.641, 12
2 4 0, 1.923, 15

[3]
For CrP3O9, a DFT-relaxed cell (GGA+U, the Materials Project) gives the computed powder diffractogram in this record (Cu Kα X-rays).

Structural model:
abc: 9.366 9.384 9.621
angles: 104.13 109.97 108.82
Space group P-1 (No. 2)
Symmetry-distinct sites (fractional):
Cr 0.199 0.400 0.291
Cr 0.274 0.751 0.228
P 0.063 0.198 0.907
P 0.111 0.503 0.852
P 0.165 0.928 0.805
P 0.297 0.565 0.668
P 0.345 0.987 0.599
P 0.403 0.313 0.576
O 0.012 0.765 0.740
O 0.076 0.533 0.186
O 0.086 0.062 0.797
O 0.124 0.851 0.150
O 0.128 0.512 0.698
O 0.137 0.345 0.855
O 0.172 0.252 0.084
O 0.199 0.914 0.645
O 0.224 0.540 0.492
O 0.241 0.648 0.005
O 0.304 0.128 0.547
O 0.312 0.856 0.451
O 0.318 0.986 0.954
O 0.332 0.403 0.676
O 0.358 0.328 0.416
O 0.405 0.621 0.316
O 0.437 0.719 0.794
O 0.480 0.930 0.261

Top 6 peaks for 5 to 70 degrees two-theta, in order of rising 2θ:
h k l, d/Å, I_rel
1 0 -1, 7.755, 100
1 0 1, 4.733, 71
1 1 -2, 4.401, 49
2 0 0, 3.941, 45
1 2 -1, 3.512, 48
2 -3 1, 2.841, 92

[4]
For Li7Cr3Si2O12, a DFT-relaxed cell (GGA+U, the Materials Project) gives the computed powder diffractogram in this record (Cu Kα X-rays).

Structural model:
abc: 19.436 8.561 4.943
angles: 90.00 94.87 90.00
Space group C2 (No. 5)
Symmetry-distinct sites (fractional):
Li 0.128 0.000 0.373
Li 0.128 0.164 0.882
Li 0.128 0.328 0.373
Li 0.128 0.500 0.873
Li 0.128 0.664 0.382
Li 0.128 0.828 0.873
Li 0.250 0.164 0.250
Cr 0.000 0.000 0.000
Cr 0.000 0.161 0.500
Cr 0.000 0.331 0.000
Cr 0.000 0.495 0.500
Cr 0.000 0.666 0.000
Cr 0.000 0.830 0.500
Si 0.250 0.331 0.750
Si 0.250 0.497 0.250
O 0.059 0.329 0.687
O 0.059 0.498 0.184
O 0.059 0.833 0.187
O 0.059 0.996 0.688
O 0.060 0.165 0.188
O 0.060 0.663 0.685
O 0.198 0.164 0.607
O 0.198 0.351 0.046
O 0.198 0.477 0.546
O 0.198 0.664 0.107
O 0.198 0.851 0.546
O 0.198 0.977 0.046

Top 6 peaks for 5 to 70 degrees two-theta, in order of rising 2θ:
h k l, d/Å, I_rel
2 0 0, 9.683, 64
4 0 0, 4.841, 100
1 3 1, 2.436, 29
5 3 1, 2.043, 93
10 0 2, 1.463, 24
0 6 0, 1.427, 23

[5]
For LiCo3SbP6O24, a DFT-relaxed cell (GGA+U, the Materials Project) gives the computed powder diffractogram in this record (Cu Kα X-rays).

Structural model:
abc: 8.488 8.490 8.513
angles: 119.81 90.09 119.98
Space group P1 (No. 1)
Symmetry-distinct sites (fractional):
Li 0.000 0.000 0.000
Co 0.141 0.283 0.431
Co 0.640 0.283 0.930
Co 0.855 0.714 0.582
Sb 0.360 0.723 0.095
P 0.025 0.492 0.256
P 0.247 0.204 0.758
P 0.467 0.224 0.259
P 0.544 0.795 0.757
P 0.754 0.780 0.256
P 0.953 0.500 0.758
O 0.042 0.317 0.247
O 0.077 0.017 0.763
O 0.120 0.642 0.948
O 0.208 0.201 0.584
O 0.223 0.672 0.269
O 0.274 0.196 0.248
O 0.291 0.417 0.948
O 0.374 0.582 0.579
O 0.418 0.183 0.759
O 0.445 0.033 0.266
O 0.499 0.199 0.073
O 0.516 0.812 0.945
O 0.566 0.986 0.758
O 0.585 0.810 0.266
O 0.628 0.431 0.449
O 0.701 0.570 0.065
O 0.738 0.818 0.765
O 0.760 0.329 0.755
O 0.799 0.799 0.440
O 0.868 0.363 0.066
O 0.921 0.970 0.252
O 0.939 0.680 0.766
O 0.991 0.369 0.583
O 0.999 0.629 0.445

Top 6 peaks for 5 to 70 degrees two-theta, in order of rising 2θ:
h k l, d/Å, I_rel
0 1 -2, 4.253, 100
2 -1 1, 3.625, 63
0 2 0, 3.006, 39
-1 2 1, 2.693, 23
0 3 -2, 2.452, 35
1 4 -3, 1.605, 24

[6]
For BaTm2NiO5, a DFT-relaxed cell (GGA+U, the Materials Project) gives the computed powder diffractogram in this record (Cu Kα X-rays).

Structural model:
abc: 12.245 5.676 7.010
angles: 90.00 90.00 90.00
Space group Pnma (No. 62)
Symmetry-distinct sites (fractional):
Ba 0.098 0.250 0.075
Tm 0.074 0.750 0.398
Tm 0.208 0.250 0.619
Ni 0.156 0.750 0.803
O 0.066 0.502 0.665
O 0.104 0.750 0.075
O 0.225 0.000 0.361

Top 6 peaks for 5 to 70 degrees two-theta, in order of rising 2θ:
h k l, d/Å, I_rel
3 1 1, 2.996, 100
1 1 2, 2.898, 76
0 2 0, 2.838, 51
4 0 1, 2.805, 24
4 2 1, 1.995, 32
3 3 1, 1.667, 18

[7]
For Li7Co5O12, a DFT-relaxed cell (GGA+U, the Materials Project) gives the computed powder diffractogram in this record (Cu Kα X-rays).

Structural model:
abc: 5.111 5.848 7.621
angles: 100.17 108.75 90.01
Space group P-1 (No. 2)
Symmetry-distinct sites (fractional):
Li 0.000 0.000 0.000
Li 0.495 0.754 0.999
Li 0.496 0.587 0.334
Li 0.499 0.921 0.664
Co 0.000 0.326 0.331
Co 0.000 0.500 0.000
Co 0.010 0.160 0.677
O 0.215 0.312 0.165
O 0.219 0.765 0.157
O 0.222 0.628 0.500
O 0.228 0.458 0.839
O 0.236 0.122 0.491
O 0.241 0.962 0.819

Top 6 peaks for 5 to 70 degrees two-theta, in order of rising 2θ:
h k l, d/Å, I_rel
1 0 0, 4.831, 100
0 2 1, 2.505, 14
1 0 -3, 2.466, 26
1 2 1, 2.085, 29
2 0 -3, 2.058, 55
3 2 -2, 1.472, 15

[8]
For MgMn6O7F5, a DFT-relaxed cell (GGA+U, the Materials Project) gives the computed powder diffractogram in this record (Cu Kα X-rays).

Structural model:
abc: 5.124 5.757 7.837
angles: 83.98 85.77 84.57
Space group P1 (No. 1)
Symmetry-distinct sites (fractional):
Mg 0.000 0.000 0.000
Mn 0.467 0.520 0.502
Mn 0.515 0.864 0.193
Mn 0.529 0.181 0.817
Mn 0.950 0.382 0.178
Mn 0.959 0.618 0.814
Mn 0.977 0.021 0.484
O 0.290 0.457 0.729
O 0.298 0.833 0.411
O 0.653 0.568 0.280
O 0.682 0.863 0.942
O 0.689 0.226 0.583
O 0.836 0.341 0.951
O 0.840 0.071 0.244
F 0.137 0.952 0.756
F 0.144 0.667 0.074
F 0.161 0.337 0.384
F 0.313 0.146 0.065
F 0.791 0.726 0.590

Top 6 peaks for 5 to 70 degrees two-theta, in order of rising 2θ:
h k l, d/Å, I_rel
1 1 1, 3.724, 100
-1 1 1, 3.320, 79
1 -1 2, 2.637, 26
1 1 -2, 2.628, 25
0 0 3, 2.594, 40
1 1 4, 1.835, 34